No. 1
BaSrGaSb2: computed X-ray diffraction stick pattern (λ = 1.5418 Å (Cu Kα)), based on a structure optimized by DFT (PBE).
Neutral-atom scattering factors, no anomalous dispersion.

Main lines, sorted by position (10 to 80 degrees two-theta):
3.659 Å, 2θ = 24.32°, rel. 58.7
3.516 Å, 2θ = 25.33°, rel. 83.1
3.301 Å, 2θ = 27.01°, rel. 30.6
2.988 Å, 2θ = 29.90°, rel. 67.8
2.942 Å, 2θ = 30.38°, rel. 23.6
2.588 Å, 2θ = 34.67°, rel. 100.0
2.428 Å, 2θ = 37.02°, rel. 45.3
1.830 Å, 2θ = 49.84°, rel. 53.5
1.717 Å, 2θ = 53.35°, rel. 28.2
1.294 Å, 2θ = 73.15°, rel. 20.9

Atomic structure:
Cell lengths 8.475, 8.475, 6.492 Å; angles 90.00, 90.00, 128.84 degrees
Fractional positions:
Ba: 0.250 0.750 0.761
Ba: 0.750 0.250 0.239
Sr: 0.250 0.250 0.500
Sr: 0.750 0.750 0.500
Ga: 0.000 0.000 0.000
Ga: 0.500 0.500 0.000
Sb: 0.146 0.854 0.245
Sb: 0.354 0.646 0.245
Sb: 0.646 0.354 0.755
Sb: 0.854 0.146 0.755



No. 2
BaGa4Se7: computed X-ray diffraction stick pattern (λ = 1.5418 Å (Cu Kα)), based on a structure optimized by DFT (PBE).
Neutral-atom scattering factors, no anomalous dispersion.

Main lines, sorted by position (10 to 80 degrees two-theta):
3.331 Å, 2θ = 26.77°, rel. 15.1
3.237 Å, 2θ = 27.56°, rel. 100.0
3.227 Å, 2θ = 27.65°, rel. 37.8
2.976 Å, 2θ = 30.02°, rel. 33.4
2.967 Å, 2θ = 30.12°, rel. 31.6
2.044 Å, 2θ = 44.33°, rel. 25.0
1.935 Å, 2θ = 46.96°, rel. 17.1
1.927 Å, 2θ = 47.18°, rel. 24.9
1.815 Å, 2θ = 50.27°, rel. 13.9
1.810 Å, 2θ = 50.42°, rel. 15.8

Atomic structure:
Cell lengths 7.740, 6.664, 15.052 Å; angles 90.00, 120.74, 90.00 degrees
Fractional positions:
Ba: 0.000 0.138 0.000
Ba: 0.000 0.862 0.500
Ga: 0.072 0.355 0.321
Ga: 0.072 0.645 0.821
Ga: 0.330 0.125 0.825
Ga: 0.330 0.875 0.325
Ga: 0.552 0.347 0.303
Ga: 0.552 0.653 0.803
Ga: 0.566 0.475 0.045
Ga: 0.566 0.525 0.545
Se: 0.000 0.006 0.276
Se: 0.000 0.994 0.776
Se: 0.234 0.414 0.503
Se: 0.234 0.466 0.739
Se: 0.234 0.534 0.239
Se: 0.234 0.586 0.003
Se: 0.457 0.022 0.222
Se: 0.457 0.978 0.722
Se: 0.570 0.123 0.009
Se: 0.570 0.877 0.509
Se: 0.743 0.466 0.737
Se: 0.743 0.534 0.237
Se: 0.778 0.362 0.488
Se: 0.778 0.638 0.988



No. 3
BaGa4Se7: computed X-ray diffraction stick pattern (λ = 1.5418 Å (Cu Kα)), based on a structure optimized by DFT (PBE).
Neutral-atom scattering factors, no anomalous dispersion.

Main lines, sorted by position (10 to 80 degrees two-theta):
3.378 Å, 2θ = 26.38°, rel. 76.4
3.319 Å, 2θ = 26.86°, rel. 52.7
3.187 Å, 2θ = 28.00°, rel. 93.2
2.985 Å, 2θ = 29.94°, rel. 100.0
2.945 Å, 2θ = 30.35°, rel. 54.5
2.318 Å, 2θ = 38.85°, rel. 30.7
1.962 Å, 2θ = 46.27°, rel. 35.7
1.927 Å, 2θ = 47.15°, rel. 61.8
1.798 Å, 2θ = 50.77°, rel. 66.6
1.649 Å, 2θ = 55.74°, rel. 43.8

Atomic structure:
Cell lengths 15.697, 6.638, 6.373 Å; angles 90.00, 90.00, 90.00 degrees
Fractional positions:
Ba: 0.000 0.142 0.000
Ba: 0.500 0.858 0.500
Ga: 0.121 0.668 0.660
Ga: 0.249 0.181 0.642
Ga: 0.251 0.819 0.142
Ga: 0.379 0.332 0.160
Ga: 0.621 0.332 0.160
Ga: 0.749 0.819 0.142
Ga: 0.751 0.181 0.642
Ga: 0.879 0.668 0.660
Se: 0.000 0.861 0.532
Se: 0.112 0.318 0.551
Se: 0.114 0.696 0.040
Se: 0.244 0.178 0.035
Se: 0.256 0.822 0.535
Se: 0.386 0.304 0.540
Se: 0.388 0.682 0.051
Se: 0.500 0.139 0.032
Se: 0.612 0.682 0.051
Se: 0.614 0.304 0.540
Se: 0.744 0.822 0.535
Se: 0.756 0.178 0.035
Se: 0.886 0.696 0.040
Se: 0.888 0.318 0.551



No. 4
Ba5Ga2Se8: computed X-ray diffraction stick pattern (λ = 1.5418 Å (Cu Kα)), based on a structure optimized by DFT (PBE).
Neutral-atom scattering factors, no anomalous dispersion.

Main lines, sorted by position (10 to 80 degrees two-theta):
3.565 Å, 2θ = 24.98°, rel. 20.5
3.072 Å, 2θ = 29.07°, rel. 100.0
3.038 Å, 2θ = 29.40°, rel. 93.1
2.832 Å, 2θ = 31.59°, rel. 40.4
2.792 Å, 2θ = 32.06°, rel. 44.4
2.385 Å, 2θ = 37.71°, rel. 18.2
1.956 Å, 2θ = 46.42°, rel. 16.3
1.814 Å, 2θ = 50.30°, rel. 17.3
1.627 Å, 2θ = 56.58°, rel. 16.2
1.572 Å, 2θ = 58.73°, rel. 16.4

Atomic structure:
Cell lengths 13.519, 13.519, 12.428 Å; angles 90.00, 90.00, 56.17 degrees
Fractional positions:
Ba: 0.007 0.493 0.750
Ba: 0.063 0.743 0.995
Ba: 0.099 0.101 0.342
Ba: 0.101 0.099 0.658
Ba: 0.243 0.563 0.495
Ba: 0.257 0.937 0.995
Ba: 0.399 0.401 0.158
Ba: 0.401 0.399 0.842
Ba: 0.437 0.757 0.495
Ba: 0.493 0.007 0.250
Ba: 0.507 0.993 0.750
Ba: 0.563 0.243 0.505
Ba: 0.599 0.601 0.158
Ba: 0.601 0.599 0.842
Ba: 0.743 0.063 0.005
Ba: 0.757 0.437 0.505
Ba: 0.899 0.901 0.342
Ba: 0.901 0.899 0.658
Ba: 0.937 0.257 0.005
Ba: 0.993 0.507 0.250
Ga: 0.187 0.813 0.269
Ga: 0.249 0.249 0.500
Ga: 0.251 0.251 0.000
Ga: 0.313 0.687 0.769
Ga: 0.687 0.313 0.231
Ga: 0.749 0.749 0.000
Ga: 0.751 0.751 0.500
Ga: 0.813 0.187 0.731
Se: 0.027 0.973 0.149
Se: 0.037 0.337 0.502
Se: 0.145 0.855 0.466
Se: 0.150 0.665 0.742
Se: 0.163 0.463 0.998
Se: 0.165 0.650 0.242
Se: 0.186 0.187 0.150
Se: 0.187 0.186 0.850
Se: 0.313 0.314 0.350
Se: 0.314 0.313 0.650
Se: 0.335 0.850 0.742
Se: 0.337 0.037 0.498
Se: 0.350 0.835 0.242
Se: 0.355 0.645 0.966
Se: 0.463 0.163 0.002
Se: 0.473 0.527 0.649
Se: 0.527 0.473 0.351
Se: 0.537 0.837 0.998
Se: 0.645 0.355 0.034
Se: 0.650 0.165 0.758
Se: 0.663 0.963 0.502
Se: 0.665 0.150 0.258
Se: 0.686 0.687 0.350
Se: 0.687 0.686 0.650
Se: 0.813 0.814 0.150
Se: 0.814 0.813 0.850
Se: 0.835 0.350 0.758
Se: 0.837 0.537 0.002
Se: 0.850 0.335 0.258
Se: 0.855 0.145 0.534
Se: 0.963 0.663 0.498
Se: 0.973 0.027 0.851



No. 5
BaGaSe3: computed X-ray diffraction stick pattern (λ = 1.5418 Å (Cu Kα)), based on a structure optimized by DFT (PBE).
Neutral-atom scattering factors, no anomalous dispersion.

Main lines, sorted by position (10 to 80 degrees two-theta):
3.754 Å, 2θ = 23.70°, rel. 70.1
3.389 Å, 2θ = 26.29°, rel. 47.8
3.187 Å, 2θ = 28.00°, rel. 58.3
3.098 Å, 2θ = 28.82°, rel. 81.0
3.048 Å, 2θ = 29.30°, rel. 60.9
3.013 Å, 2θ = 29.65°, rel. 44.0
2.759 Å, 2θ = 32.45°, rel. 100.0
2.612 Å, 2θ = 34.33°, rel. 63.9
2.116 Å, 2θ = 42.73°, rel. 45.9
1.735 Å, 2θ = 52.76°, rel. 50.1

Atomic structure:
Cell lengths 6.310, 7.035, 7.560 Å; angles 94.05, 93.17, 114.38 degrees
Fractional positions:
Ba: 0.000 0.000 0.000
Ba: 0.268 0.663 0.493
Ga: 0.574 0.326 0.359
Ga: 0.697 0.354 0.868
Se: 0.074 0.522 0.051
Se: 0.175 0.104 0.432
Se: 0.489 0.990 0.854
Se: 0.551 0.524 0.107
Se: 0.728 0.068 0.358
Se: 0.743 0.584 0.627



No. 6
Ba4Ga4SnSe12: computed X-ray diffraction stick pattern (λ = 1.5418 Å (Cu Kα)), based on a structure optimized by DFT (PBE).
Neutral-atom scattering factors, no anomalous dispersion.

Main lines, sorted by position (10 to 80 degrees two-theta):
4.522 Å, 2θ = 19.63°, rel. 30.8
3.662 Å, 2θ = 24.31°, rel. 35.2
3.334 Å, 2θ = 26.74°, rel. 53.4
3.288 Å, 2θ = 27.12°, rel. 100.0
3.115 Å, 2θ = 28.66°, rel. 44.3
3.008 Å, 2θ = 29.70°, rel. 41.9
2.734 Å, 2θ = 32.75°, rel. 30.9
2.633 Å, 2θ = 34.05°, rel. 32.9
2.410 Å, 2θ = 37.31°, rel. 54.9
1.904 Å, 2θ = 47.76°, rel. 31.1

Atomic structure:
Cell lengths 13.955, 13.955, 6.562 Å; angles 90.00, 90.00, 90.00 degrees
Fractional positions:
Ba: 0.020 0.307 0.045
Ba: 0.193 0.480 0.545
Ba: 0.307 0.980 0.955
Ba: 0.480 0.807 0.455
Ba: 0.520 0.193 0.455
Ba: 0.693 0.020 0.955
Ba: 0.807 0.520 0.545
Ba: 0.980 0.693 0.045
Ga: 0.142 0.755 0.546
Ga: 0.245 0.142 0.454
Ga: 0.255 0.642 0.046
Ga: 0.358 0.255 0.954
Ga: 0.642 0.745 0.954
Ga: 0.745 0.358 0.046
Ga: 0.755 0.858 0.454
Ga: 0.858 0.245 0.546
Sn: 0.000 0.000 0.500
Sn: 0.500 0.500 0.000
Se: 0.015 0.641 0.544
Se: 0.093 0.894 0.754
Se: 0.106 0.093 0.246
Se: 0.141 0.515 0.044
Se: 0.194 0.792 0.198
Se: 0.208 0.194 0.802
Se: 0.292 0.694 0.698
Se: 0.306 0.292 0.302
Se: 0.359 0.015 0.456
Se: 0.394 0.593 0.254
Se: 0.407 0.394 0.746
Se: 0.485 0.141 0.956
Se: 0.515 0.859 0.956
Se: 0.593 0.606 0.746
Se: 0.606 0.407 0.254
Se: 0.641 0.985 0.456
Se: 0.694 0.708 0.302
Se: 0.708 0.306 0.698
Se: 0.792 0.806 0.802
Se: 0.806 0.208 0.198
Se: 0.859 0.485 0.044
Se: 0.894 0.907 0.246
Se: 0.907 0.106 0.754
Se: 0.985 0.359 0.544



No. 7
Ba2Ga7Si: computed X-ray diffraction stick pattern (λ = 1.5418 Å (Cu Kα)), based on a structure optimized by DFT (PBE).
Neutral-atom scattering factors, no anomalous dispersion.

Main lines, sorted by position (10 to 80 degrees two-theta):
3.285 Å, 2θ = 27.15°, rel. 27.3
2.822 Å, 2θ = 31.71°, rel. 85.5
2.796 Å, 2θ = 32.01°, rel. 100.0
2.323 Å, 2θ = 38.77°, rel. 72.4
1.937 Å, 2θ = 46.90°, rel. 29.6
1.793 Å, 2θ = 50.92°, rel. 44.2
1.642 Å, 2θ = 55.99°, rel. 24.2
1.562 Å, 2θ = 59.13°, rel. 16.1
1.488 Å, 2θ = 62.42°, rel. 24.5
1.416 Å, 2θ = 65.97°, rel. 24.1

Atomic structure:
Cell lengths 4.645, 4.645, 10.657 Å; angles 90.00, 90.00, 90.00 degrees
Fractional positions:
Ba: 0.000 0.500 0.248
Ba: 0.500 0.000 0.752
Ga: 0.000 0.000 0.000
Ga: 0.000 0.000 0.500
Ga: 0.000 0.500 0.628
Ga: 0.000 0.500 0.877
Ga: 0.500 0.000 0.123
Ga: 0.500 0.000 0.372
Ga: 0.500 0.500 0.500
Si: 0.500 0.500 0.000



No. 8
Ba3GaSi4: computed X-ray diffraction stick pattern (λ = 1.5418 Å (Cu Kα)), based on a structure optimized by DFT (PBE).
Neutral-atom scattering factors, no anomalous dispersion.

Main lines, sorted by position (10 to 80 degrees two-theta):
4.010 Å, 2θ = 22.17°, rel. 32.3
3.498 Å, 2θ = 25.46°, rel. 100.0
2.850 Å, 2θ = 31.39°, rel. 47.3
2.835 Å, 2θ = 31.55°, rel. 20.7
2.607 Å, 2θ = 34.40°, rel. 24.4
2.464 Å, 2θ = 36.46°, rel. 12.1
2.186 Å, 2θ = 41.31°, rel. 12.7
1.919 Å, 2θ = 47.37°, rel. 13.3
1.860 Å, 2θ = 48.96°, rel. 19.4
1.739 Å, 2θ = 52.62°, rel. 15.0

Atomic structure:
Cell lengths 9.339, 9.339, 9.339 Å; angles 147.58, 144.66, 48.71 degrees
Fractional positions:
Ba: 0.000 0.000 0.000
Ba: 0.307 0.807 0.500
Ba: 0.693 0.193 0.500
Ga: 0.500 0.500 0.000
Si: 0.090 0.386 0.704
Si: 0.317 0.614 0.704
Si: 0.683 0.386 0.296
Si: 0.910 0.614 0.296



No. 9
Ba2Zn4GaSi3: computed X-ray diffraction stick pattern (λ = 1.5418 Å (Cu Kα)), based on a structure optimized by DFT (PBE).
Neutral-atom scattering factors, no anomalous dispersion.

Main lines, sorted by position (10 to 80 degrees two-theta):
4.109 Å, 2θ = 21.63°, rel. 15.5
2.790 Å, 2θ = 32.08°, rel. 59.4
2.714 Å, 2θ = 33.01°, rel. 100.0
2.223 Å, 2θ = 40.58°, rel. 51.4
1.936 Å, 2θ = 46.94°, rel. 24.3
1.739 Å, 2θ = 52.64°, rel. 28.4
1.572 Å, 2θ = 58.73°, rel. 16.8
1.557 Å, 2θ = 59.37°, rel. 13.5
1.460 Å, 2θ = 63.75°, rel. 19.1
1.360 Å, 2θ = 69.04°, rel. 22.5

Atomic structure:
Cell lengths 4.446, 4.446, 10.750 Å; angles 90.00, 90.00, 90.00 degrees
Fractional positions:
Ba: 0.000 0.500 0.244
Ba: 0.500 0.000 0.756
Zn: 0.000 0.000 0.000
Zn: 0.000 0.500 0.633
Zn: 0.500 0.000 0.367
Zn: 0.500 0.500 0.000
Ga: 0.000 0.000 0.500
Si: 0.000 0.500 0.872
Si: 0.500 0.000 0.128
Si: 0.500 0.500 0.500



No. 10
Ba3Ga2Sn4: computed X-ray diffraction stick pattern (λ = 1.5418 Å (Cu Kα)), based on a structure optimized by DFT (PBE).
Neutral-atom scattering factors, no anomalous dispersion.

Main lines, sorted by position (10 to 80 degrees two-theta):
3.232 Å, 2θ = 27.60°, rel. 100.0
2.669 Å, 2θ = 33.57°, rel. 11.4
2.344 Å, 2θ = 38.40°, rel. 42.2
2.231 Å, 2θ = 40.44°, rel. 15.4
1.899 Å, 2θ = 47.91°, rel. 16.1
1.894 Å, 2θ = 48.02°, rel. 6.3
1.761 Å, 2θ = 51.91°, rel. 19.5
1.630 Å, 2θ = 56.46°, rel. 11.8
1.476 Å, 2θ = 62.98°, rel. 7.9
1.474 Å, 2θ = 63.06°, rel. 11.2

Atomic structure:
Cell lengths 7.109, 7.109, 9.702 Å; angles 93.69, 93.69, 38.54 degrees
Fractional positions:
Ba: 0.000 0.000 0.000
Ba: 0.339 0.339 0.338
Ba: 0.661 0.661 0.662
Ga: 0.426 0.426 0.757
Ga: 0.574 0.574 0.243
Sn: 0.078 0.078 0.399
Sn: 0.259 0.259 0.911
Sn: 0.741 0.741 0.089
Sn: 0.922 0.922 0.601



Please write out number 8 again, unchanged.
Ba3GaSi4: computed X-ray diffraction stick pattern (λ = 1.5418 Å (Cu Kα)), based on a structure optimized by DFT (PBE).
Neutral-atom scattering factors, no anomalous dispersion.

Main lines, sorted by position (10 to 80 degrees two-theta):
4.010 Å, 2θ = 22.17°, rel. 32.3
3.498 Å, 2θ = 25.46°, rel. 100.0
2.850 Å, 2θ = 31.39°, rel. 47.3
2.835 Å, 2θ = 31.55°, rel. 20.7
2.607 Å, 2θ = 34.40°, rel. 24.4
2.464 Å, 2θ = 36.46°, rel. 12.1
2.186 Å, 2θ = 41.31°, rel. 12.7
1.919 Å, 2θ = 47.37°, rel. 13.3
1.860 Å, 2θ = 48.96°, rel. 19.4
1.739 Å, 2θ = 52.62°, rel. 15.0

Atomic structure:
Cell lengths 9.339, 9.339, 9.339 Å; angles 147.58, 144.66, 48.71 degrees
Fractional positions:
Ba: 0.000 0.000 0.000
Ba: 0.307 0.807 0.500
Ba: 0.693 0.193 0.500
Ga: 0.500 0.500 0.000
Si: 0.090 0.386 0.704
Si: 0.317 0.614 0.704
Si: 0.683 0.386 0.296
Si: 0.910 0.614 0.296